Starting from DFT lattice parameters and positions (GGA+U), the PXRD pattern of Li5Co3O8 was simulated for λ = 1.5418 Å (Cu Kα).
Peak positions follow from Bragg's law for the DFT cell and can differ from measured ones.

Cell and atoms:
```
Li5Co3O8
1.0
4.9159 -2.8329 0.0000
4.9159 2.8329 0.0000
-1.6796 0.0000 4.7001
Li Co O
5 3 8
Direct
0.0000 0.0000 0.0000
0.2393 0.7607 0.5000
0.2482 0.2482 0.4996
0.7518 0.7518 0.5004
0.7607 0.2393 0.5000
0.0000 0.5000 0.0000
0.5000 0.0000 0.0000
0.5000 0.5000 0.0000
0.1397 0.1397 0.7787
0.1421 0.6106 0.7799
0.3711 0.3711 0.2191
0.3894 0.8579 0.2201
0.6106 0.1421 0.7799
0.6289 0.6289 0.7809
0.8579 0.3894 0.2201
0.8603 0.8603 0.2213
```

Top 10 peaks for 2θ = 10–90°, low angle first:
18.4 deg, d 4.833, I = 22; 18.9 deg, d 4.700, I = 100; 24.0 deg, d 3.711, I = 12; 37.1 deg, d 2.425, I = 15; 37.2 deg, d 2.416, I = 23; 44.8 deg, d 2.024, I = 28; 45.1 deg, d 2.010, I = 55; 59.5 deg, d 1.554, I = 10; 65.0 deg, d 1.435, I = 14; 65.8 deg, d 1.418, I = 15